[1]
Diffraction record for Ba5Re3BrO15. The XRD peak list is simulated, not measured: it uses DFT lattice parameters and positions (PBE) and λ = 1.5418 Å (Cu Kα).

Largest 10 diffraction maxima, sorted by position, 2θ from 15° to 90°:
2theta	d_spacing	I_rel
19.41	4.572	21
22.36	3.977	24
26.83	3.323	88
27.53	3.240	100
27.65	3.226	89
35.29	2.543	32
39.42	2.286	29
42.09	2.147	22
48.84	1.865	22
51.25	1.782	22

Atomic structure:
Cell lengths 11.175, 11.175, 7.953 Å; angles 90.00, 90.00, 120.00 degrees
Fractional positions:
Ba1 0.000 0.268 0.000
Ba2 0.000 0.732 0.500
Ba3 0.268 0.000 0.000
Ba4 0.268 0.268 0.500
Ba5 0.333 0.667 0.259
Ba6 0.333 0.667 0.759
Ba7 0.667 0.333 0.259
Ba8 0.667 0.333 0.759
Ba9 0.732 0.000 0.500
Ba10 0.732 0.732 0.000
Re1 0.000 0.392 0.555
Re2 0.000 0.608 0.055
Re3 0.392 0.000 0.555
Re4 0.392 0.392 0.055
Re5 0.608 0.000 0.055
Re6 0.608 0.608 0.555
Br1 0.000 0.000 0.226
Br2 0.000 0.000 0.726
O1 0.000 0.299 0.376
O2 0.000 0.701 0.876
O3 0.130 0.553 0.016
O4 0.130 0.578 0.516
O5 0.131 0.390 0.695
O6 0.131 0.741 0.195
O7 0.259 0.390 0.195
O8 0.259 0.869 0.695
O9 0.299 0.000 0.376
O10 0.299 0.299 0.876
O11 0.390 0.131 0.695
O12 0.390 0.259 0.195
O13 0.422 0.553 0.516
O14 0.422 0.870 0.016
O15 0.447 0.578 0.016
O16 0.447 0.870 0.516
O17 0.553 0.130 0.016
O18 0.553 0.422 0.516
O19 0.578 0.130 0.516
O20 0.578 0.447 0.016
O21 0.610 0.741 0.695
O22 0.610 0.869 0.195
O23 0.701 0.000 0.876
O24 0.701 0.701 0.376
O25 0.741 0.131 0.195
O26 0.741 0.610 0.695
O27 0.869 0.259 0.695
O28 0.869 0.610 0.195
O29 0.870 0.422 0.016
O30 0.870 0.447 0.516

---

[2]
Diffraction record for TlRhI2O8. The XRD peak list is simulated, not measured: it uses DFT lattice parameters and positions (PBE) and λ = 1.5418 Å (Cu Kα).

Largest 10 diffraction maxima, sorted by position, 2θ from 15° to 90°:
2theta	d_spacing	I_rel
17.06	5.198	47
22.02	4.036	86
29.77	3.001	100
32.85	2.726	73
44.92	2.018	40
48.46	1.878	24
52.83	1.733	21
54.82	1.675	43
61.82	1.501	15
71.80	1.315	17

Atomic structure:
Cell lengths 6.003, 6.003, 6.404 Å; angles 90.00, 90.00, 120.00 degrees
Fractional positions:
Tl1 0.000 0.000 0.000
Rh1 0.000 0.000 0.500
I1 0.333 0.667 0.708
I2 0.667 0.333 0.292
O1 0.089 0.285 0.713
O2 0.195 0.911 0.713
O3 0.285 0.195 0.287
O4 0.333 0.667 0.986
O5 0.667 0.333 0.014
O6 0.715 0.805 0.713
O7 0.805 0.089 0.287
O8 0.911 0.715 0.287

---

[3]
Diffraction record for Sm5Er4Th4. The XRD peak list is simulated, not measured: it uses DFT lattice parameters and positions (PBE) and λ = 1.5418 Å (Cu Kα).

Largest 10 diffraction maxima, sorted by position, 2θ from 15° to 90°:
2theta	d_spacing	I_rel
30.61	2.921	100
33.68	2.661	1
35.49	2.530	50
39.19	2.298	1
51.06	1.789	36
60.72	1.525	43
63.72	1.460	12
75.11	1.265	6
83.25	1.161	18
85.92	1.131	17

Atomic structure:
Cell lengths 9.467, 9.467, 9.467 Å; angles 94.09, 94.09, 149.03 degrees
Fractional positions:
Sm1 0.000 0.000 0.000
Sm2 0.304 0.462 0.765
Sm3 0.462 0.696 0.158
Sm4 0.538 0.304 0.842
Sm5 0.696 0.538 0.235
Er1 0.154 0.234 0.388
Er2 0.234 0.846 0.080
Er3 0.766 0.154 0.920
Er4 0.846 0.766 0.612
Th1 0.074 0.615 0.688
Th2 0.385 0.074 0.459
Th3 0.615 0.926 0.541
Th4 0.926 0.385 0.312

---

[4]
Diffraction record for La2Tb2Pt15. The XRD peak list is simulated, not measured: it uses DFT lattice parameters and positions (PBE) and λ = 1.5418 Å (Cu Kα).

Largest 10 diffraction maxima, sorted by position, 2θ from 15° to 90°:
2theta	d_spacing	I_rel
18.87	4.704	27
32.98	2.716	28
38.27	2.352	49
38.43	2.342	95
38.92	2.314	37
43.14	2.097	100
43.59	2.076	28
69.19	1.358	28
70.16	1.341	20
82.33	1.171	21

Atomic structure:
Cell lengths 7.136, 7.136, 7.136 Å; angles 82.47, 82.47, 82.47 degrees
Fractional positions:
La1 0.144 0.144 0.144
La2 0.856 0.856 0.856
Tb1 0.394 0.394 0.394
Tb2 0.606 0.606 0.606
Pt1 0.000 0.500 0.500
Pt2 0.153 0.153 0.659
Pt3 0.153 0.659 0.153
Pt4 0.190 0.500 0.810
Pt5 0.190 0.810 0.500
Pt6 0.341 0.847 0.847
Pt7 0.500 0.000 0.500
Pt8 0.500 0.190 0.810
Pt9 0.500 0.500 0.000
Pt10 0.500 0.810 0.190
Pt11 0.659 0.153 0.153
Pt12 0.810 0.190 0.500
Pt13 0.810 0.500 0.190
Pt14 0.847 0.341 0.847
Pt15 0.847 0.847 0.341

---

[5]
Diffraction record for LaFeAg2. The XRD peak list is simulated, not measured: it uses DFT lattice parameters and positions (PBE) and λ = 1.5418 Å (Cu Kα).

Largest 10 diffraction maxima, sorted by position, 2θ from 15° to 90°:
2theta	d_spacing	I_rel
18.21	4.872	13
23.08	3.853	22
25.41	3.505	19
33.23	2.696	90
36.90	2.436	13
38.15	2.359	33
39.06	2.306	100
52.23	1.751	16
54.82	1.675	25
67.08	1.395	22

Atomic structure:
Cell lengths 4.614, 4.614, 5.550 Å; angles 114.52, 114.52, 59.91 degrees
Fractional positions:
La1 0.000 0.000 0.000
Fe1 0.807 0.807 0.422
Ag1 0.211 0.211 0.633
Ag2 0.481 0.481 0.445

---

[6]
Diffraction record for BaMg6Pb2. The XRD peak list is simulated, not measured: it uses DFT lattice parameters and positions (PBE) and λ = 1.5418 Å (Cu Kα).

Largest 10 diffraction maxima, sorted by position, 2θ from 15° to 90°:
2theta	d_spacing	I_rel
18.15	4.888	51
24.86	3.581	45
25.77	3.457	72
27.15	3.284	68
31.39	2.850	100
36.50	2.462	41
36.77	2.444	58
38.88	2.317	44
49.11	1.855	58
54.58	1.681	33

Atomic structure:
Cell lengths 4.888, 4.888, 10.523 Å; angles 90.00, 90.00, 90.00 degrees
Fractional positions:
Ba1 0.000 0.000 0.000
Mg1 0.000 0.000 0.500
Mg2 0.000 0.500 0.313
Mg3 0.000 0.500 0.687
Mg4 0.500 0.000 0.313
Mg5 0.500 0.000 0.687
Mg6 0.500 0.500 0.500
Pb1 0.500 0.500 0.150
Pb2 0.500 0.500 0.850